Calculated powder diffraction line list of Hf6FeC for CuKα, from a cell relaxed with PBE.
Kinematic intensities with the Lorentz-polarization factor, no thermal factor.

Cell and atoms:
```
Hf6FeC
1.0
2.8538 1.6476 5.5092
-2.8538 1.6476 5.5092
0.0000 -3.2953 5.5092
Hf Fe C
6 1 1
direct
0.0898 0.4372 0.7331
0.2669 0.9102 0.5628
0.4372 0.7331 0.0898
0.5628 0.2669 0.9102
0.7331 0.0898 0.4372
0.9102 0.5628 0.2669
0.0000 0.0000 0.0000
0.5000 0.5000 0.5000
```

Peak list (6 most intense, 2θ from 15° to 90°, sorted by position)
2θ (°)	d (Å)	I_rel
32.51	2.754	26
35.42	2.534	100
45.78	1.982	22
55.80	1.648	20
59.89	1.544	21
66.08	1.414	18

---

Calculated powder diffraction line list of Hf2PaFeC4 for CuKα, from a cell relaxed with PBE.
Kinematic intensities with the Lorentz-polarization factor, no thermal factor.

Cell and atoms:
```
Hf2PaFeC4
1.0
1.6555 -5.5829 0.0000
1.6555 5.5829 0.0000
0.0000 0.0000 10.9777
Hf Pa Fe C
4 2 2 8
direct
0.1314 0.8686 0.5467
0.1314 0.8686 0.9533
0.8686 0.1314 0.0467
0.8686 0.1314 0.4533
0.4001 0.5999 0.7500
0.5999 0.4001 0.2500
0.3407 0.6593 0.2500
0.6593 0.3407 0.7500
0.0708 0.9292 0.7500
0.2317 0.7683 0.1268
0.2317 0.7683 0.3732
0.5000 0.5000 0.0000
0.5000 0.5000 0.5000
0.7683 0.2317 0.6268
0.7683 0.2317 0.8732
0.9292 0.0708 0.2500
```

Peak list (6 most intense, 2θ from 15° to 90°, sorted by position)
2θ (°)	d (Å)	I_rel
29.18	3.060	58
32.06	2.791	38
32.60	2.747	100
37.26	2.413	30
39.98	2.255	40
56.00	1.642	20

---

Calculated powder diffraction line list of FeHgC4S4N4 for CuKα, from a cell relaxed with PBE.
Kinematic intensities with the Lorentz-polarization factor, no thermal factor.

Cell and atoms:
```
FeHgC4S4N4
1.0
-5.6138 5.6138 2.6426
5.6138 -5.6138 2.6426
5.6138 5.6138 -2.6426
Fe Hg C S N
1 1 4 4 4
direct
0.0000 0.0000 0.0000
0.2500 0.7500 0.5000
0.2796 0.5608 0.1555
0.4053 0.1241 0.8445
0.4392 0.5947 0.7188
0.8759 0.7204 0.2812
0.1455 0.3780 0.5717
0.4262 0.8545 0.2325
0.6220 0.1937 0.7675
0.8063 0.5738 0.4283
0.1744 0.3492 0.0961
0.2530 0.0782 0.9039
0.6508 0.7470 0.8252
0.9218 0.8256 0.1748
```

Peak list (6 most intense, 2θ from 15° to 90°, sorted by position)
2θ (°)	d (Å)	I_rel
15.79	5.614	96
18.56	4.782	87
24.45	3.640	100
29.24	3.054	49
33.40	2.683	48
42.65	2.120	51

---

Calculated powder diffraction line list of Ho2Fe17C for CuKα, from a cell relaxed with PBE.
Kinematic intensities with the Lorentz-polarization factor, no thermal factor.

Cell and atoms:
```
Ho2Fe17C
1.0
4.7967 -4.2973 0.0000
4.7967 4.2973 0.0000
-1.0086 0.0000 6.3200
Ho Fe C
2 17 1
direct
0.1609 0.1609 0.3482
0.8391 0.8391 0.6518
0.0000 0.5000 0.0000
0.1564 0.1564 0.8485
0.1561 0.6505 0.3454
0.2085 0.5002 0.7075
0.2144 0.7856 0.0000
0.3495 0.8439 0.6546
0.4031 0.4031 0.0974
0.5000 0.0000 0.0000
0.5002 0.2085 0.7075
0.5000 0.5000 0.5000
0.4998 0.7915 0.2925
0.5969 0.5969 0.9026
0.6505 0.1561 0.3454
0.7856 0.2144 0.0000
0.7915 0.4998 0.2925
0.8439 0.3495 0.6546
0.8436 0.8436 0.1515
0.0000 0.0000 0.0000
```

Peak list (6 most intense, 2θ from 15° to 90°, sorted by position)
2θ (°)	d (Å)	I_rel
30.11	2.968	45
37.96	2.371	45
42.39	2.132	66
42.63	2.121	100
42.88	2.109	53
44.02	2.057	63

---

Calculated powder diffraction line list of HoMnFeC for CuKα, from a cell relaxed with PBE.
Kinematic intensities with the Lorentz-polarization factor, no thermal factor.

Cell and atoms:
```
HoMnFeC
1.0
3.6173 0.0000 0.0000
0.0000 3.6173 0.0000
0.0000 0.0000 10.2766
Ho Mn Fe C
2 2 2 2
direct
0.2500 0.2500 0.2142
0.7500 0.7500 0.7858
0.2500 0.7500 0.5000
0.7500 0.2500 0.5000
0.2500 0.7500 0.0000
0.7500 0.2500 0.0000
0.2500 0.2500 0.4467
0.7500 0.7500 0.5533
```

Peak list (6 most intense, 2θ from 15° to 90°, sorted by position)
2θ (°)	d (Å)	I_rel
26.12	3.412	100
34.92	2.569	21
36.12	2.487	24
39.35	2.290	82
50.46	1.809	25
57.68	1.598	27

---

Calculated powder diffraction line list of Zr2FeIrC for CuKα, from a cell relaxed with PBE.
Kinematic intensities with the Lorentz-polarization factor, no thermal factor.

Cell and atoms:
```
Zr2FeIrC
1.0
4.5905 0.0000 0.0000
0.0000 4.5905 0.0000
0.0000 0.0000 3.6423
Zr Fe Ir C
2 1 1 1
direct
0.0000 0.5000 0.0000
0.5000 0.0000 0.0000
0.0000 0.0000 0.5000
0.5000 0.5000 0.5000
0.0000 0.0000 0.0000
```

Peak list (6 most intense, 2θ from 15° to 90°, sorted by position)
2θ (°)	d (Å)	I_rel
19.34	4.590	19
31.35	2.853	17
37.10	2.423	100
39.25	2.295	47
65.42	1.427	20
69.74	1.348	31